The following is a calculated X-ray powder pattern of Li2MnC2O6. It was derived from a structure optimized by DFT (GGA+U), using Cu Kα, 1.54184 Å.
Neutral-atom scattering factors, no anomalous dispersion.

Most intense lines, 5 to 70 degrees two-theta, sorted by position:
| d (Å) | 2θ/deg | I/Imax | h k l |
| --- | --- | --- | --- |
| 5.365 | 16.52 | 1000 | 0 1 1 |
| 4.862 | 18.25 | 323 | 1 0 0 |
| 4.223 | 21.04 | 121 | 1 1 -1 |
| 4.110 | 21.62 | 126 | 1 1 0 |
| 3.194 | 27.93 | 91 | 1 1 1 |
| 2.682 | 33.41 | 387 | 0 2 2 |
| 2.526 | 35.54 | 119 | 2 0 -2 |
| 2.128 | 42.48 | 72 | 2 1 -3 |
| 2.117 | 42.72 | 119 | 1 2 2 |
| 1.788 | 51.08 | 120 | 0 3 3 |

Atomic structure:
```
data_Li2MnC2O6
_chemical_formula_sum 'Li4 Mn2 C4 O12'
_space_group_name_H-M_alt 'P 1 21/c 1'
_space_group_IT_number 14
_cell_length_a 5.2603
_cell_length_b 7.6918
_cell_length_c 8.0996
_cell_angle_alpha 90.00
_cell_angle_beta 112.44
_cell_angle_gamma 90.00
loop_
_space_group_symop_operation_xyz
'x,y,z'
'-x,-y,-z'
'-x,y+1/2,-z+1/2'
'x,-y+1/2,z+1/2'
loop_
_atom_site_label
_atom_site_type_symbol
_atom_site_fract_x
_atom_site_fract_y
_atom_site_fract_z
_atom_site_occupancy
Li1 Li 0.0718 0.1393 0.1606 1
Mn1 Mn 0.5000 0.0000 0.0000 1
C1 C 0.3569 0.7162 0.7082 1
O1 O 0.1913 0.5951 0.6107 1
O2 O 0.2677 0.6764 0.2957 1
O3 O 0.3965 0.2222 0.7901 1
```